Diffraction record for Cs5K. The powder diffraction line list is computed, not measured: it uses the PBE geometry in Alexandria and λ = 1.5418 Å (Cu Kα).
Intensities are scaled so that the largest is 1000.

Crystal structure
```
data_Cs5K
_cell_length_a 7.5744
_cell_length_b 22.2132
_cell_length_c 7.6887
_cell_angle_alpha 90.00
_cell_angle_beta 90.00
_cell_angle_gamma 90.00
_symmetry_space_group_name_H-M 'C m m m'
_symmetry_Int_Tables_number 65
_symmetry_space_group_name_Hall '-C 2 2'
loop_
_atom_site_label
_atom_site_type_symbol
_atom_site_fract_x
_atom_site_fract_y
_atom_site_fract_z
_atom_site_occupancy
Cs1 Cs 0.0000 0.0000 0.0000 1
Cs2 Cs 0.0000 0.1608 0.5000 1
Cs3 Cs 0.0000 0.3382 0.0000 1
K1 K 0.0000 0.5000 0.5000 1
```

Largest 12 diffraction maxima, by angle, 10° ≤ 2θ ≤ 80°:
Position (°2θ)  intensity  h k l
20.37  1000  1 3 1
23.14  190  0 0 2
23.49  178  2 0 0
24.04  163  0 6 0
33.21  145  2 0 2
33.61  136  0 6 2
33.86  133  2 6 0
39.05  183  1 3 3
39.49  177  3 3 1
40.18  158  1 9 1
41.41  150  2 6 2
52.35  79  3 3 3

Diffraction record for Cs5K6. The powder diffraction line list is computed, not measured: it uses the PBE geometry in Alexandria and λ = 1.5418 Å (Cu Kα).
Intensities are scaled so that the largest is 1000.

Crystal structure
```
data_Cs5K6
_cell_length_a 8.3451
_cell_length_b 19.7988
_cell_length_c 12.5382
_cell_angle_alpha 90.00
_cell_angle_beta 90.84
_cell_angle_gamma 90.00
_symmetry_space_group_name_H-M 'C 1 2/m 1'
_symmetry_Int_Tables_number 12
_symmetry_space_group_name_Hall '-C 2y'
loop_
_atom_site_label
_atom_site_type_symbol
_atom_site_fract_x
_atom_site_fract_y
_atom_site_fract_z
_atom_site_occupancy
Cs1 Cs 0.0000 0.0000 0.0000 1
Cs2 Cs 0.0000 0.3054 0.0000 1
Cs3 Cs 0.0000 0.3433 0.5000 1
K1 K 0.0014 0.5000 0.7868 1
K2 K 0.0033 0.1238 0.6905 1
```

Largest 12 diffraction maxima, by angle, 10° ≤ 2θ ≤ 80°:
Position (°2θ)  intensity  h k l
14.13  470  0 0 2
16.74  202  0 2 2
17.13  506  1 3 0
19.28  454  0 4 1
21.29  808  2 0 0
22.17  1000  1 3 -2
22.37  990  1 3 2
27.03  234  0 6 0
28.48  228  0 0 4
34.23  225  1 7 1
37.74  320  3 3 -2
38.11  262  3 3 2